# 1
The following is a simulated powder X-ray diffraction pattern of CrCu3. It was derived from a GGA-PBE-relaxed structure, using Cu Kα, 1.54184 Å.
Neutral-atom scattering factors, no anomalous dispersion.

Cell and atoms:
Lattice parameters (Å, degrees): 4.6715 4.6715 4.6715 90.00 90.00 90.00
Sites, in units of the cell vectors:
Cr 0.0000 0.0000 0.0000
Cr 0.5000 0.5000 0.5000
Cu 0.0000 0.2500 0.5000
Cu 0.0000 0.7500 0.5000
Cu 0.2500 0.5000 0.0000
Cu 0.5000 0.0000 0.2500
Cu 0.5000 0.0000 0.7500
Cu 0.7500 0.5000 0.0000

Largest 8 diffraction maxima, in order of falling intensity, 2θ from 10° to 90°:
2θ (°), d/Å, I_rel
43.31, 2.089, 100
47.69, 1.907, 58
38.54, 2.336, 28
76.26, 1.249, 25
73.03, 1.296, 19
82.61, 1.168, 11
69.73, 1.349, 9
26.99, 3.303, 2

# 2
The following is a simulated powder X-ray diffraction pattern of PmThTi. It was derived from a GGA-PBE-relaxed structure, using Cu Kα, 1.54184 Å.
Neutral-atom scattering factors, no anomalous dispersion.

Cell and atoms:
Lattice parameters (Å, degrees): 16.6085 3.3895 3.3895 60.00 90.00 90.00
Sites, in units of the cell vectors:
Pm 0.1900 0.0000 0.0000
Pm 0.8100 0.0000 0.0000
Th 0.0000 0.6669 0.6669
Th 0.5000 0.9986 0.9986
Ti 0.3457 0.6662 0.6662
Ti 0.6543 0.6662 0.6662

Largest 12 diffraction maxima, in order of falling intensity, 2θ from 10° to 90°:
2θ (°), d/Å, I_rel
34.59, 2.593, 100
32.34, 2.768, 29
30.45, 2.935, 29
64.47, 1.445, 24
54.11, 1.695, 24
10.65, 8.304, 18
21.40, 4.152, 17
30.94, 2.891, 16
49.39, 1.845, 16
65.83, 1.419, 16
45.02, 2.014, 13
59.14, 1.562, 11

# 3
The following is a simulated powder X-ray diffraction pattern of Dy4HgRh5. It was derived from a GGA-PBE-relaxed structure, using Cu Kα, 1.54184 Å.
Neutral-atom scattering factors, no anomalous dispersion.

Cell and atoms:
Lattice parameters (Å, degrees): 3.4324 3.4324 16.5370 90.00 90.00 90.00
Sites, in units of the cell vectors:
Dy 0.0000 0.0000 0.1032
Dy 0.0000 0.0000 0.3100
Dy 0.0000 0.0000 0.6900
Dy 0.0000 0.0000 0.8968
Hg 0.0000 0.0000 0.5000
Rh 0.5000 0.5000 0.0000
Rh 0.5000 0.5000 0.2039
Rh 0.5000 0.5000 0.4045
Rh 0.5000 0.5000 0.5955
Rh 0.5000 0.5000 0.7961

Largest 12 diffraction maxima, in order of falling intensity, 2θ from 10° to 90°:
2θ (°), d/Å, I_rel
37.77, 2.382, 100
37.04, 2.427, 54
67.24, 1.392, 37
53.38, 1.716, 19
68.68, 1.367, 16
80.69, 1.191, 10
55.57, 1.654, 7
25.96, 3.432, 7
78.88, 1.214, 6
46.40, 1.957, 3
26.96, 3.307, 3
42.04, 2.149, 2

# 4
The following is a simulated powder X-ray diffraction pattern of U4Ga12Rh. It was derived from a GGA-PBE-relaxed structure, using Cu Kα, 1.54184 Å.
Neutral-atom scattering factors, no anomalous dispersion.

Cell and atoms:
Lattice parameters (Å, degrees): 7.4451 7.4451 7.4451 109.47 109.47 109.47
Sites, in units of the cell vectors:
U 0.0000 0.0000 0.5000
U 0.0000 0.5000 0.0000
U 0.5000 0.0000 0.0000
U 0.5000 0.5000 0.5000
Ga 0.0000 0.2917 0.2917
Ga 0.0000 0.7083 0.7083
Ga 0.2500 0.5000 0.7500
Ga 0.2500 0.7500 0.5000
Ga 0.2917 0.0000 0.2917
Ga 0.2917 0.2917 0.0000
Ga 0.5000 0.2500 0.7500
Ga 0.5000 0.7500 0.2500
Ga 0.7083 0.0000 0.7083
Ga 0.7083 0.7083 0.0000
Ga 0.7500 0.2500 0.5000
Ga 0.7500 0.5000 0.2500
Rh 0.0000 0.0000 0.0000

Largest 12 diffraction maxima, in order of falling intensity, 2θ from 10° to 90°:
2θ (°), d/Å, I_rel
36.20, 2.482, 100
42.04, 2.149, 62
29.39, 3.039, 56
60.97, 1.520, 38
73.00, 1.296, 34
20.66, 4.298, 26
52.12, 1.755, 20
47.29, 1.922, 18
84.30, 1.149, 15
69.10, 1.359, 15
76.82, 1.241, 12
65.10, 1.433, 10

# 5
The following is a simulated powder X-ray diffraction pattern of Na3Tm2US6. It was derived from a GGA-PBE-relaxed structure, using Cu Kα, 1.54184 Å.
Neutral-atom scattering factors, no anomalous dispersion.

Cell and atoms:
Lattice parameters (Å, degrees): 6.8585 6.8585 7.0683 99.31 99.31 119.96
Sites, in units of the cell vectors:
Na 0.0000 0.0000 0.0000
Na 0.3328 0.6672 0.0000
Na 0.6672 0.3328 0.0000
Tm 0.1666 0.8334 0.5000
Tm 0.8334 0.1666 0.5000
U 0.5000 0.5000 0.5000
S 0.0860 0.4245 0.2739
S 0.2372 0.2372 0.7265
S 0.4245 0.0860 0.2739
S 0.5755 0.9140 0.7261
S 0.7628 0.7628 0.2735
S 0.9140 0.5755 0.7261

Largest 12 diffraction maxima, in order of falling intensity, 2θ from 10° to 90°:
2θ (°), d/Å, I_rel
31.60, 2.831, 100
13.24, 6.688, 99
26.36, 3.381, 52
27.48, 3.246, 38
44.76, 2.025, 36
45.82, 1.980, 35
47.91, 1.899, 25
34.40, 2.607, 22
41.04, 2.200, 22
56.73, 1.623, 18
75.79, 1.255, 16
74.23, 1.278, 15

# 6
The following is a simulated powder X-ray diffraction pattern of Ba2Hg9Pb3. It was derived from a GGA-PBE-relaxed structure, using Cu Kα, 1.54184 Å.
Neutral-atom scattering factors, no anomalous dispersion.

Cell and atoms:
Lattice parameters (Å, degrees): 9.2132 9.2132 11.4145 90.00 90.00 60.12
Sites, in units of the cell vectors:
Ba 0.0051 0.6778 0.7500
Ba 0.3222 0.9949 0.7500
Ba 0.6778 0.0051 0.2500
Ba 0.9949 0.3222 0.2500
Hg 0.0120 0.6585 0.1021
Hg 0.0120 0.6585 0.3979
Hg 0.1528 0.8472 0.2500
Hg 0.3353 0.6647 0.5635
Hg 0.3353 0.6647 0.9365
Hg 0.3415 0.9880 0.1021
Hg 0.3415 0.9880 0.3979
Hg 0.3615 0.4420 0.2500
Hg 0.4420 0.3615 0.7500
Hg 0.5580 0.6385 0.2500
Hg 0.6385 0.5580 0.7500
Hg 0.6585 0.0120 0.6021
Hg 0.6585 0.0120 0.8979
Hg 0.6647 0.3353 0.0635
Hg 0.6647 0.3353 0.4365
Hg 0.8472 0.1528 0.7500
Hg 0.9880 0.3415 0.6021
Hg 0.9880 0.3415 0.8979
Pb 0.0000 0.0000 0.0000
Pb 0.0000 0.0000 0.5000
Pb 0.3185 0.3185 0.0000
Pb 0.3185 0.3185 0.5000
Pb 0.6815 0.6815 0.0000
Pb 0.6815 0.6815 0.5000

Largest 12 diffraction maxima, in order of falling intensity, 2θ from 10° to 90°:
2θ (°), d/Å, I_rel
30.47, 2.934, 100
33.63, 2.665, 98
37.05, 2.426, 40
37.28, 2.412, 32
33.72, 2.658, 27
58.21, 1.585, 25
39.90, 2.260, 15
58.31, 1.583, 15
63.41, 1.467, 15
52.00, 1.759, 12
46.04, 1.971, 12
27.28, 3.269, 12

# 7
The following is a simulated powder X-ray diffraction pattern of TaMnBe5. It was derived from a GGA-PBE-relaxed structure, using Cu Kα, 1.54184 Å.
Neutral-atom scattering factors, no anomalous dispersion.

Cell and atoms:
Lattice parameters (Å, degrees): 7.1142 4.3111 8.8527 90.00 90.00 90.00
Sites, in units of the cell vectors:
Ta 0.2368 0.2500 0.0687
Ta 0.2632 0.7500 0.5687
Ta 0.7368 0.2500 0.4313
Ta 0.7632 0.7500 0.9313
Mn 0.1324 0.7500 0.8685
Mn 0.3676 0.2500 0.3685
Mn 0.6324 0.7500 0.6315
Mn 0.8676 0.2500 0.1315
Be 0.0448 0.7500 0.1109
Be 0.0658 0.0088 0.3145
Be 0.0658 0.4912 0.3145
Be 0.0870 0.2500 0.5167
Be 0.1913 0.2500 0.7492
Be 0.3087 0.7500 0.2492
Be 0.4130 0.7500 0.0167
Be 0.4342 0.5088 0.8145
Be 0.4342 0.9912 0.8145
Be 0.4552 0.2500 0.6109
Be 0.5448 0.7500 0.3891
Be 0.5658 0.0088 0.1855
Be 0.5658 0.4912 0.1855
Be 0.5870 0.2500 0.9833
Be 0.6913 0.2500 0.7508
Be 0.8087 0.7500 0.2508
Be 0.9130 0.7500 0.4833
Be 0.9342 0.5088 0.6855
Be 0.9342 0.9912 0.6855
Be 0.9552 0.2500 0.8891

Largest 12 diffraction maxima, in order of falling intensity, 2θ from 10° to 90°:
2θ (°), d/Å, I_rel
26.18, 3.404, 100
36.91, 2.435, 53
44.81, 2.023, 52
45.12, 2.009, 50
25.03, 3.557, 48
22.95, 3.876, 47
23.67, 3.758, 33
20.06, 4.426, 30
42.79, 2.113, 30
41.91, 2.156, 26
43.28, 2.090, 23
32.29, 2.773, 22

# 8
The following is a simulated powder X-ray diffraction pattern of Pm3GaP2Pt9. It was derived from a GGA-PBE-relaxed structure, using Cu Kα, 1.54184 Å.
Neutral-atom scattering factors, no anomalous dispersion.

Cell and atoms:
Lattice parameters (Å, degrees): 6.3618 6.3618 8.8290 90.00 90.00 120.00
Sites, in units of the cell vectors:
Pm 0.0000 0.0000 0.0000
Pm 0.3333 0.6667 0.6920
Pm 0.6667 0.3333 0.3080
Ga 0.0000 0.0000 0.5000
P 0.3333 0.6667 0.1797
P 0.6667 0.3333 0.8203
Pt 0.0000 0.5000 0.0000
Pt 0.1464 0.2928 0.2811
Pt 0.1464 0.8536 0.2811
Pt 0.2928 0.1464 0.7189
Pt 0.5000 0.0000 0.0000
Pt 0.5000 0.5000 0.0000
Pt 0.7072 0.8536 0.2811
Pt 0.8536 0.1464 0.7189
Pt 0.8536 0.7072 0.7189

Largest 12 diffraction maxima, in order of falling intensity, 2θ from 10° to 90°:
2θ (°), d/Å, I_rel
34.09, 2.630, 100
38.52, 2.337, 91
30.37, 2.943, 27
57.99, 1.590, 26
45.08, 2.011, 21
10.02, 8.829, 19
53.17, 1.723, 17
62.47, 1.487, 16
66.87, 1.399, 15
40.89, 2.207, 15
71.79, 1.315, 13
73.37, 1.290, 13